(1)
Structure and computed powder diffractogram of AcH2Pt (a DFT-relaxed cell (PBE, Alexandria); a wavelength of 1.5418 Å).
Peak positions follow from Bragg's law for the DFT cell and can differ from measured ones.

Crystal structure
a = 8.5170 Å, b = 4.5608 Å, c = 6.4985 Å
α = 90.00°, β = 90.00°, γ = 90.00°
Space group Pnma (No. 62)
Inequivalent atoms, fractional coordinates:
Ac  0.1845  0.2500  0.1499 (multiplicity 4)
H  0.0830  0.5073  0.8173 (multiplicity 8)
Pt  0.0368  0.2500  0.6313 (multiplicity 4)

Principal peaks in the range 10° ≤ 2θ ≤ 90°, in order of rising 2θ:
28.68°, I = 65, (2 1 0)
29.42°, I = 55, (1 0 2)
31.88°, I = 100, (2 1 1)
34.47°, I = 33, (3 0 1)
35.52°, I = 90, (1 1 2)
39.52°, I = 39, (0 2 0)


(2)
Structure and computed powder diffractogram of Ac2H2Pt3 (a DFT-relaxed cell (PBE, Alexandria); a wavelength of 1.5418 Å).
Peak positions follow from Bragg's law for the DFT cell and can differ from measured ones.

Crystal structure
a = 4.6236 Å, b = 4.0701 Å, c = 7.3095 Å
α = 90.00°, β = 95.88°, γ = 90.00°
Space group P2/m (No. 10)
Inequivalent atoms, fractional coordinates:
Ac  0.2106  0.0000  0.2634 (multiplicity 2)
H  0.1731  0.5000  0.8529 (multiplicity 2)
Pt  0.2756  0.5000  0.6194 (multiplicity 2)
Pt  0.5000  0.5000  0.0000 (multiplicity 1)

Principal peaks in the range 10° ≤ 2θ ≤ 90°, in order of rising 2θ:
31.04°, I = 100, (1 1 -1)
32.62°, I = 39, (1 1 1)
33.04°, I = 53, (0 1 2)
39.88°, I = 45, (2 0 -1)
40.24°, I = 31, (1 0 -3)
44.52°, I = 29, (0 2 0)


(3)
Structure and computed powder diffractogram of Ac6HPt5 (a DFT-relaxed cell (PBE, Alexandria); a wavelength of 1.5418 Å).
Peak positions follow from Bragg's law for the DFT cell and can differ from measured ones.

Crystal structure
a = 7.5644 Å, b = 13.0905 Å, c = 7.5574 Å
α = 90.00°, β = 109.35°, γ = 90.00°
Space group C2/m (No. 12)
Inequivalent atoms, fractional coordinates:
Ac  0.2472  0.0000  0.2488 (multiplicity 4)
Ac  0.2475  0.1681  0.7472 (multiplicity 8)
H  0.0000  0.5000  0.0000 (multiplicity 2)
Pt  0.0000  0.0000  0.5000 (multiplicity 2)
Pt  0.0000  0.1670  0.0000 (multiplicity 4)
Pt  0.0000  0.3354  0.5000 (multiplicity 4)

Principal peaks in the range 10° ≤ 2θ ≤ 90°, in order of rising 2θ:
28.92°, I = 100, (1 3 1)
41.36°, I = 78, (2 0 2)
51.26°, I = 28, (4 0 0)
59.93°, I = 13, (4 0 -4)
67.92°, I = 25, (5 3 -3)
75.47°, I = 16, (4 6 -4)


(4)
Structure and computed powder diffractogram of Ac4HPt3 (a DFT-relaxed cell (PBE, Alexandria); a wavelength of 1.5418 Å).
Peak positions follow from Bragg's law for the DFT cell and can differ from measured ones.

Crystal structure
a = 4.3620 Å, b = 12.2876 Å, c = 8.6846 Å
α = 90.00°, β = 90.00°, γ = 90.00°
Space group Amm2 (No. 38)
Inequivalent atoms, fractional coordinates:
Ac  0.0000  0.0000  0.0000 (multiplicity 2)
Ac  0.0000  0.0000  0.4947 (multiplicity 2)
Ac  0.5000  0.2489  0.2469 (multiplicity 4)
H  0.5000  0.0000  0.7456 (multiplicity 2)
Pt  0.0000  0.2500  0.4969 (multiplicity 4)
Pt  0.5000  0.0000  0.2472 (multiplicity 2)

Principal peaks in the range 10° ≤ 2θ ≤ 90°, in order of rising 2θ:
29.03°, I = 100, (1 0 2)
41.55°, I = 65, (1 4 2)
51.38°, I = 14, (2 4 0)
51.55°, I = 14, (0 4 4)
68.20°, I = 24, (2 4 4)
75.87°, I = 14, (1 4 6)


(5)
Structure and computed powder diffractogram of Ac2Sb2H4Pt (a DFT-relaxed cell (PBE, Alexandria); a wavelength of 1.5418 Å).
Peak positions follow from Bragg's law for the DFT cell and can differ from measured ones.

Crystal structure
a = 6.3835 Å, b = 6.3835 Å, c = 8.9514 Å
α = 90.00°, β = 90.00°, γ = 90.00°
Space group I4/mmm (No. 139)
Inequivalent atoms, fractional coordinates:
Ac  0.0000  0.5000  0.2500 (multiplicity 4)
Sb  0.0000  0.0000  0.1736 (multiplicity 4)
H  0.1861  0.1861  0.5000 (multiplicity 8)
Pt  0.0000  0.0000  0.5000 (multiplicity 2)

Principal peaks in the range 10° ≤ 2θ ≤ 90°, in order of rising 2θ:
27.95°, I = 100, (2 0 0)
28.08°, I = 63, (1 1 2)
33.14°, I = 32, (1 0 3)
39.95°, I = 40, (2 2 0)
43.89°, I = 29, (2 1 3)
49.54°, I = 28, (3 1 2)


(6)
Structure and computed powder diffractogram of AcZnH6Pt3 (a DFT-relaxed cell (PBE, Alexandria); a wavelength of 1.5418 Å).
Peak positions follow from Bragg's law for the DFT cell and can differ from measured ones.

Crystal structure
a = 7.1855 Å, b = 7.1855 Å, c = 8.4453 Å
α = 90.00°, β = 90.00°, γ = 120.00°
Space group R3 (No. 146, hexagonal axes)
Inequivalent atoms, fractional coordinates:
Ac  0.0000  0.0000  0.0000 (multiplicity 3)
Zn  0.0000  0.0000  0.6036 (multiplicity 3)
H  0.0118  0.2341  0.7430 (multiplicity 9)
H  0.0211  0.6734  0.8458 (multiplicity 9)
Pt  0.0786  0.5678  0.0227 (multiplicity 9)

Principal peaks in the range 10° ≤ 2θ ≤ 90°, in order of rising 2θ:
24.78°, I = 25, (1 1 0)
30.62°, I = 100, (0 2 1)
31.79°, I = 56, (0 0 3)
35.85°, I = 89, (2 0 2)
39.78°, I = 46, (3 -1 1)
44.07°, I = 28, (1 2 2)


(7)
Structure and computed powder diffractogram of RbAcH (a DFT-relaxed cell (PBE, Alexandria); a wavelength of 1.5418 Å).
Peak positions follow from Bragg's law for the DFT cell and can differ from measured ones.

Crystal structure
a = 15.3023 Å, b = 3.9566 Å, c = 6.8563 Å
α = 90.00°, β = 90.00°, γ = 90.00°
Space group Amm2 (No. 38)
Inequivalent atoms, fractional coordinates:
Rb  0.1215  0.0000  0.0000 (multiplicity 4)
Ac  0.3857  0.0000  0.6744 (multiplicity 4)
H  0.0000  0.0000  0.6662 (multiplicity 2)
H  0.5000  0.0000  0.0077 (multiplicity 2)

Principal peaks in the range 10° ≤ 2θ ≤ 90°, in order of rising 2θ:
23.25°, I = 50, (4 0 0)
26.00°, I = 48, (0 1 1)
26.65°, I = 100, (1 0 2)
31.45°, I = 41, (3 0 2)
35.16°, I = 42, (4 1 1)
39.47°, I = 50, (5 0 2)


(8)
Structure and computed powder diffractogram of Ac2H4Rh (a DFT-relaxed cell (PBE, Alexandria); a wavelength of 1.5418 Å).
Peak positions follow from Bragg's law for the DFT cell and can differ from measured ones.

Crystal structure
a = 3.8478 Å, b = 3.8478 Å, c = 14.6793 Å
α = 90.00°, β = 90.00°, γ = 90.00°
Space group I4/mmm (No. 139)
Inequivalent atoms, fractional coordinates:
Ac  0.0000  0.0000  0.1365 (multiplicity 4)
H  0.0000  0.0000  0.3776 (multiplicity 4)
H  0.0000  0.5000  0.0000 (multiplicity 4)
Rh  0.0000  0.0000  0.5000 (multiplicity 2)

Principal peaks in the range 10° ≤ 2θ ≤ 90°, in order of rising 2θ:
23.91°, I = 23, (1 0 1)
29.53°, I = 100, (1 0 3)
32.92°, I = 50, (1 1 0)
41.31°, I = 19, (1 1 4)
47.24°, I = 19, (2 0 0)
56.71°, I = 33, (2 1 3)


(9)
Structure and computed powder diffractogram of AcH7Rh4 (a DFT-relaxed cell (PBE, Alexandria); a wavelength of 1.5418 Å).
Peak positions follow from Bragg's law for the DFT cell and can differ from measured ones.

Crystal structure
a = 9.8192 Å, b = 5.4588 Å, c = 4.7514 Å
α = 90.00°, β = 90.00°, γ = 90.00°
Space group Pmn2_1 (No. 31)
Inequivalent atoms, fractional coordinates:
Ac  0.0000  0.1849  0.0000 (multiplicity 2)
H  0.0000  0.8664  0.4334 (multiplicity 2)
H  0.1147  0.7496  0.7872 (multiplicity 4)
H  0.1287  0.1717  0.5165 (multiplicity 4)
H  0.1400  0.5905  0.3175 (multiplicity 4)
Rh  0.1775  0.8782  0.4833 (multiplicity 4)
Rh  0.2379  0.6110  0.9919 (multiplicity 4)

Principal peaks in the range 10° ≤ 2θ ≤ 90°, in order of rising 2θ:
30.89°, I = 64, (2 1 1)
31.88°, I = 68, (3 1 0)
33.24°, I = 63, (3 0 1)
37.20°, I = 47, (3 1 1)
37.87°, I = 62, (0 0 2)
38.02°, I = 100, (0 2 1)


(10)
Structure and computed powder diffractogram of AcH10Rh3 (a DFT-relaxed cell (PBE, Alexandria); a wavelength of 1.5418 Å).
Peak positions follow from Bragg's law for the DFT cell and can differ from measured ones.

Crystal structure
a = 9.6517 Å, b = 9.6517 Å, c = 9.6517 Å
α = 90.00°, β = 90.00°, γ = 90.00°
Space group Fm-3m (No. 225)
Inequivalent atoms, fractional coordinates:
Ac  0.2500  0.2500  0.2500 (multiplicity 8)
H  0.0000  0.1563  0.1563 (multiplicity 48)
H  0.0998  0.0998  0.4002 (multiplicity 32)
Rh  0.0000  0.0000  0.2643 (multiplicity 24)

Principal peaks in the range 10° ≤ 2θ ≤ 90°, in order of rising 2θ:
26.11°, I = 12, (2 2 0)
32.13°, I = 100, (2 2 2)
37.26°, I = 49, (4 0 0)
53.72°, I = 34, (4 4 0)
63.99°, I = 40, (6 2 2)
88.27°, I = 16, (6 6 2)